[1]
This entry pairs a crystal structure of Dy3PaTl3Se8 with its simulated X-ray powder pattern. Radiation: Cu Kα, 1.54184 Å. Structure: the PBE geometry in Alexandria.

Cell and atoms:
Unit cell a=9.2003 b=9.2003 c=9.2003 alpha=53.94 beta=53.94 gamma=53.94
Atoms (fractional coordinates):
Dy1 0.0000 0.5000 0.5000
Dy2 0.5000 0.0000 0.5000
Dy3 0.5000 0.5000 0.0000
Pa1 0.0000 0.0000 0.0000
Tl1 0.0000 0.0000 0.5000
Tl2 0.0000 0.5000 0.0000
Tl3 0.5000 0.0000 0.0000
Se1 0.2333 0.2333 0.7353
Se2 0.2333 0.7353 0.2333
Se3 0.2647 0.7667 0.7667
Se4 0.2657 0.2657 0.2657
Se5 0.7343 0.7343 0.7343
Se6 0.7353 0.2333 0.2333
Se7 0.7667 0.2647 0.7667
Se8 0.7667 0.7667 0.2647

Main lines, by angle (10 to 90 degrees two-theta):
2θ/deg  I/Imax
12.8  12.9
25.8  16.7
29.0  100.0
39.5  37.3
43.4  35.4
53.0  18.7
60.1  11.0
65.3  13.3
70.8  15.8
77.0  10.8


[2]
This entry pairs a crystal structure of ScPaAl2O8 with its simulated X-ray powder pattern. Radiation: Cu Kα, 1.54184 Å. Structure: the PBE geometry in Alexandria.

Cell and atoms:
Unit cell a=5.7977 b=5.7977 c=5.7977 alpha=108.42 beta=108.42 gamma=111.60
Atoms (fractional coordinates):
Sc1 0.0000 0.0000 0.0000
Pa1 0.2500 0.7500 0.5000
Al1 0.5000 0.5000 0.0000
Al2 0.7500 0.2500 0.5000
O1 0.3136 0.1255 0.8120
O2 0.3136 0.5016 0.1880
O3 0.3751 0.0674 0.3077
O4 0.4984 0.6864 0.8120
O5 0.7596 0.0674 0.6923
O6 0.8745 0.6864 0.1880
O7 0.9326 0.2404 0.3077
O8 0.9326 0.6249 0.6923

Main lines, by angle (10 to 90 degrees two-theta):
2θ/deg  I/Imax
18.5  41.3
18.9  100.0
26.3  70.4
32.6  39.2
33.2  54.6
38.3  17.7
42.3  23.1
43.8  19.7
50.5  21.1
51.0  46.1


[3]
This entry pairs a crystal structure of GaCuAg with its simulated X-ray powder pattern. Radiation: Cu Kα, 1.54184 Å. Structure: the PBE geometry in Alexandria.

Cell and atoms:
Unit cell a=3.0416 b=4.6495 c=7.1379 alpha=97.87 beta=90.24 gamma=109.06
Atoms (fractional coordinates):
Ga1 0.0993 0.1953 0.2083
Ga2 0.9007 0.8047 0.7917
Cu1 0.3636 0.7272 0.0723
Cu2 0.6364 0.2728 0.9277
Ag1 0.1540 0.3054 0.6079
Ag2 0.8460 0.6946 0.3921

Main lines, by angle (10 to 90 degrees two-theta):
2θ/deg  I/Imax
31.2  30.4
33.1  20.0
34.3  25.1
35.0  25.3
40.8  69.9
41.4  52.2
41.6  100.0
43.7  73.8
46.5  30.0
60.9  21.5


> What is the formula in the third record?

GaCuAg